Theoretical powder XRD pattern
Compound: ZnTeH2O5
Radiation: Cu Kα
Structure: DFT lattice parameters and positions (GGA-PBE)
Neutral-atom scattering factors, no anomalous dispersion.

Top 6 peaks for 5 to 70 degrees two-theta, low angle first:
4.914 Å, rel. 100; 3.500 Å, rel. 59; 3.482 Å, rel. 68; 3.414 Å, rel. 87; 3.176 Å, rel. 56; 2.608 Å, rel. 53

Unit cell a=5.371 b=5.371 c=7.578 alpha=106.64 beta=106.64 gamma=97.85
Sites, in units of the cell vectors:
Zn 0.000 0.000 0.000
Zn 0.000 0.000 0.500
Te 0.342 0.658 0.750
Te 0.658 0.342 0.250
H 0.080 0.663 0.198
H 0.337 0.920 0.302
H 0.663 0.080 0.698
H 0.920 0.337 0.802
O 0.066 0.648 0.848
O 0.135 0.865 0.250
O 0.261 0.347 0.543
O 0.347 0.261 0.043
O 0.352 0.934 0.652
O 0.648 0.066 0.348
O 0.653 0.739 0.957
O 0.739 0.653 0.457
O 0.865 0.135 0.750
O 0.934 0.352 0.152